1.
# Li2Mn3FeO8
Computed XRD peak list, CuKα. Input: a crystal structure in the Materials Project, relaxed with GGA+U.
Kinematic intensities with the Lorentz-polarization factor, no thermal factor.

Atomic structure:
a b c (Å): 5.9034 5.9034 9.4512
angles (deg): 90.00 90.00 120.00
Fractional coordinates of all 28 atoms:
Li  0.0000  0.0000  0.0000
Li  0.0000  0.0000  0.5000
Li  0.3333  0.6667  0.3933
Li  0.6667  0.3333  0.8933
Mn  0.1708  0.3416  0.7173
Mn  0.1708  0.8292  0.7173
Mn  0.3416  0.1708  0.2173
Mn  0.6584  0.8292  0.7173
Mn  0.8292  0.1708  0.2173
Mn  0.8292  0.6584  0.2173
Fe  0.3333  0.6667  0.9961
Fe  0.6667  0.3333  0.4961
O  0.0000  0.0000  0.3106
O  0.0000  0.0000  0.8106
O  0.0396  0.5198  0.8391
O  0.1621  0.3242  0.1050
O  0.1621  0.8379  0.1050
O  0.3242  0.1621  0.6050
O  0.3333  0.6667  0.6029
O  0.4802  0.5198  0.8391
O  0.4802  0.9604  0.8391
O  0.5198  0.0396  0.3391
O  0.5198  0.4802  0.3391
O  0.6667  0.3333  0.1029
O  0.6758  0.8379  0.1050
O  0.8379  0.1621  0.6050
O  0.8379  0.6758  0.6050
O  0.9604  0.4802  0.3391

Top 10 peaks for 2θ = 5–70°, low angle first:
18.78 deg, rel. 62; 19.74 deg, rel. 100; 25.67 deg, rel. 31; 33.41 deg, rel. 37; 35.87 deg, rel. 56; 36.41 deg, rel. 53; 40.10 deg, rel. 39; 45.71 deg, rel. 58; 60.96 deg, rel. 46; 62.98 deg, rel. 41


2.
# Mg2CrWO6
Computed XRD peak list, CuKα. Input: a crystal structure in the Materials Project, relaxed with GGA+U.
Kinematic intensities with the Lorentz-polarization factor, no thermal factor.

Atomic structure:
a b c (Å): 5.1551 5.2015 5.5200
angles (deg): 62.17 62.64 60.40
Fractional coordinates of all 10 atoms:
Mg  0.0000  0.0000  0.0000
Mg  0.4991  0.5062  0.5017
Cr  0.7893  0.8002  0.6216
W  0.2894  0.3003  0.1205
O  0.0705  0.4139  0.8437
O  0.1760  0.9155  0.3382
O  0.4027  0.6860  0.8368
O  0.5571  0.1861  0.3398
O  0.6751  0.0845  0.8338
O  0.9053  0.5833  0.3337

Top 10 peaks for 2θ = 5–70°, low angle first:
19.04 deg, rel. 45; 20.71 deg, rel. 76; 20.88 deg, rel. 38; 23.39 deg, rel. 76; 23.55 deg, rel. 76; 23.67 deg, rel. 74; 32.38 deg, rel. 100; 32.59 deg, rel. 49; 34.46 deg, rel. 78; 52.75 deg, rel. 47


3.
# ZnWO2
Computed XRD peak list, CuKα. Input: a crystal structure in the Materials Project, relaxed with GGA+U.
Kinematic intensities with the Lorentz-polarization factor, no thermal factor.

Atomic structure:
a b c (Å): 2.9961 8.1593 8.6725
angles (deg): 95.16 90.61 98.62
Fractional coordinates of all 16 atoms:
Zn  0.1737  0.3688  0.4528
Zn  0.2853  0.4341  0.7908
Zn  0.7147  0.5659  0.2092
Zn  0.8263  0.6312  0.5472
W  0.0639  0.1809  0.0827
W  0.4699  0.9313  0.2330
W  0.5301  0.0687  0.7670
W  0.9361  0.8191  0.9173
O  0.0463  0.1101  0.3128
O  0.0908  0.2149  0.6661
O  0.1519  0.4126  0.2126
O  0.4029  0.7231  0.0649
O  0.5971  0.2769  0.9351
O  0.8481  0.5874  0.7874
O  0.9092  0.7851  0.3339
O  0.9537  0.8899  0.6872

Top 10 peaks for 2θ = 5–70°, low angle first:
10.24 deg, rel. 100; 11.01 deg, rel. 77; 24.29 deg, rel. 29; 31.80 deg, rel. 63; 32.05 deg, rel. 44; 34.11 deg, rel. 73; 34.84 deg, rel. 67; 38.92 deg, rel. 31; 43.88 deg, rel. 33; 45.85 deg, rel. 28


4.
# Sr2CrOsO6
Computed XRD peak list, CuKα. Input: a crystal structure in the Materials Project, relaxed with GGA+U.
Kinematic intensities with the Lorentz-polarization factor, no thermal factor.

Atomic structure:
a b c (Å): 5.5771 5.5771 5.5771
angles (deg): 60.47 60.47 60.47
Fractional coordinates of all 10 atoms:
Sr  0.2503  0.2503  0.2503
Sr  0.7497  0.7497  0.7497
Cr  0.5000  0.5000  0.5000
Os  0.0000  0.0000  0.0000
O  0.2057  0.7518  0.2914
O  0.2482  0.7086  0.7943
O  0.2914  0.2057  0.7518
O  0.7086  0.7943  0.2482
O  0.7518  0.2914  0.2057
O  0.7943  0.2482  0.7086

Top 10 peaks for 2θ = 5–70°, low angle first:
19.38 deg, rel. 39; 31.86 deg, rel. 99; 32.10 deg, rel. 100; 37.67 deg, rel. 17; 45.86 deg, rel. 62; 56.78 deg, rel. 21; 56.93 deg, rel. 40; 57.37 deg, rel. 19; 66.60 deg, rel. 18; 67.14 deg, rel. 18


5.
# Ba8SrCa3W4O24
Computed XRD peak list, CuKα. Input: a crystal structure in the Materials Project, relaxed with GGA+U.
Kinematic intensities with the Lorentz-polarization factor, no thermal factor.

Atomic structure:
a b c (Å): 6.0384 10.5105 10.5113
angles (deg): 80.08 73.55 89.53
Fractional coordinates of all 40 atoms:
Ba  0.0600  0.1865  0.3732
Ba  0.1917  0.5616  0.1232
Ba  0.3100  0.9386  0.8744
Ba  0.4400  0.3081  0.6279
Ba  0.5600  0.6919  0.3721
Ba  0.6900  0.0614  0.1256
Ba  0.8083  0.4384  0.8768
Ba  0.9400  0.8135  0.6268
Sr  0.0000  0.5000  0.5000
Ca  0.2504  0.2504  0.9991
Ca  0.5000  0.0000  0.5000
Ca  0.7496  0.7496  0.0009
W  0.1260  0.8773  0.2483
W  0.3733  0.6265  0.7530
W  0.6267  0.3735  0.2470
W  0.8740  0.1227  0.7517
O  0.0624  0.7209  0.3841
O  0.0786  0.1901  0.8429
O  0.1096  0.7057  0.8653
O  0.1396  0.0445  0.6388
O  0.1680  0.5610  0.6639
O  0.1903  0.0371  0.1138
O  0.3094  0.4657  0.8879
O  0.3302  0.9431  0.3416
O  0.3703  0.4547  0.3580
O  0.3895  0.7974  0.1372
O  0.4208  0.3075  0.1555
O  0.4398  0.7859  0.6160
O  0.5602  0.2141  0.3840
O  0.5792  0.6925  0.8445
O  0.6105  0.2026  0.8628
O  0.6297  0.5453  0.6420
O  0.6698  0.0569  0.6584
O  0.6906  0.5343  0.1121
O  0.8097  0.9629  0.8862
O  0.8320  0.4390  0.3361
O  0.8604  0.9555  0.3612
O  0.8904  0.2943  0.1347
O  0.9214  0.8099  0.1571
O  0.9376  0.2791  0.6159

Top 10 peaks for 2θ = 5–70°, low angle first:
17.88 deg, rel. 32; 29.37 deg, rel. 100; 29.59 deg, rel. 100; 42.17 deg, rel. 58; 52.09 deg, rel. 22; 52.22 deg, rel. 41; 52.63 deg, rel. 20; 60.93 deg, rel. 17; 61.41 deg, rel. 18; 69.51 deg, rel. 19


6.
# KMnF3
Computed XRD peak list, CuKα. Input: a crystal structure in the Materials Project, relaxed with GGA+U.
Kinematic intensities with the Lorentz-polarization factor, no thermal factor.

Atomic structure:
a b c (Å): 6.0090 6.0090 6.0090
angles (deg): 120.05 90.26 119.65
Fractional coordinates of all 10 atoms:
K  0.2531  0.0031  0.2500
K  0.7469  0.9969  0.7500
Mn  0.0000  0.5000  0.5000
Mn  0.5000  0.5000  0.0000
F  0.2013  0.4513  0.7500
F  0.2752  0.0000  0.7752
F  0.2752  0.5000  0.2752
F  0.7248  0.0000  0.2248
F  0.7248  0.5000  0.7248
F  0.7987  0.5487  0.2500

Top 10 peaks for 2θ = 5–70°, low angle first:
20.89 deg, rel. 28; 29.57 deg, rel. 18; 29.74 deg, rel. 100; 42.45 deg, rel. 53; 42.65 deg, rel. 25; 52.57 deg, rel. 17; 52.79 deg, rel. 22; 52.87 deg, rel. 8; 61.76 deg, rel. 34; 69.88 deg, rel. 7